# CrH6CN3ClO3
Calculated X-ray powder pattern, a wavelength of 1.5418 Å. Input: a DFT-relaxed cell (PBE+U, the Materials Project).
Neutral-atom scattering factors, no anomalous dispersion.

Structure:
Cell lengths 6.2925, 7.3930, 16.0607 Å; angles 90.00, 90.00, 90.00 degrees
Space group Pnma (No. 62)
Symmetry-distinct sites (fractional):
Cr 0.1348 0.2500 0.1432 x4
H 0.0387 0.0288 0.3790 x8
H 0.2304 0.1316 0.6928 x8
H 0.2360 0.5921 0.4309 x8
C 0.0181 0.7500 0.3699 x4
N 0.1046 0.5932 0.3944 x8
N 0.1525 0.2500 0.6798 x4
Cl 0.0502 0.7500 0.9731 x4
O 0.0745 0.0688 0.1948 x8
O 0.1128 0.7500 0.6181 x4

The 6 most intense peaks (15 to 90 degrees two-theta), most intense first:
index, 2θ/deg, I (rel.)
1 1 2, 21.6, 100
0 2 0, 24.1, 33
1 1 3, 24.9, 32
1 0 2, 17.9, 32
0 0 4, 22.1, 25
1 2 2, 30.2, 25

---

# CrPC5Cl3O5
Calculated X-ray powder pattern, a wavelength of 1.5418 Å. Input: a DFT-relaxed cell (PBE+U, the Materials Project).
Neutral-atom scattering factors, no anomalous dispersion.

Structure:
Cell lengths 6.8617, 13.2853, 13.1849 Å; angles 90.00, 91.75, 90.00 degrees
Space group P2_1/c (No. 14)
Symmetry-distinct sites (fractional):
Cr 0.2113 0.2002 0.1065 x4
P 0.1895 0.1348 0.6632 x4
C 0.0364 0.6674 0.3375 x4
C 0.0824 0.2399 0.9814 x4
C 0.2370 0.0660 0.0581 x4
C 0.3348 0.1606 0.2333 x4
C 0.4568 0.2364 0.0502 x4
Cl 0.0751 0.5824 0.7908 x4
Cl 0.2586 0.0234 0.5638 x4
Cl 0.3649 0.0940 0.7854 x4
O 0.0071 0.2358 0.4054 x4
O 0.1849 0.6479 0.3031 x4
O 0.2536 0.5163 0.5296 x4
O 0.3973 0.7398 0.9848 x4
O 0.4038 0.1363 0.3107 x4

The 6 most intense peaks (15 to 90 degrees two-theta), most intense first:
index, 2θ/deg, I (rel.)
0 1 2, 15.0, 100
2 1 -2, 29.8, 73
0 4 2, 30.1, 72
0 4 1, 27.7, 56
1 1 4, 31.2, 44
1 0 2, 19.0, 40

---

# FeH5CNCl2O2
Calculated X-ray powder pattern, a wavelength of 1.5418 Å. Input: a DFT-relaxed cell (PBE+U, the Materials Project).
Neutral-atom scattering factors, no anomalous dispersion.

Structure:
Cell lengths 8.2104, 11.2829, 6.9324 Å; angles 90.00, 105.00, 90.00 degrees
Space group C2/c (No. 15)
Symmetry-distinct sites (fractional):
Fe 0.0000 0.0000 0.0000 x4
H 0.0000 0.3283 0.2500 x4
H 0.0101 0.2758 0.8760 x8
H 0.1044 0.3835 0.7690 x8
C 0.0000 0.2306 0.2500 x4
N 0.0000 0.3293 0.7500 x4
Cl 0.2247 0.0430 0.8187 x8
O 0.0040 0.1802 0.0872 x8

The 6 most intense peaks (15 to 90 degrees two-theta), most intense first:
index, 2θ/deg, I (rel.)
0 2 0, 15.7, 100
1 1 2, 32.6, 77
3 1 -2, 38.4, 66
2 2 -2, 34.2, 40
0 4 1, 34.5, 39
2 2 2, 42.7, 35